Structure and computed powder X-ray diffraction pattern of K2ReO2F4 (a PBE-relaxed structure; copper Kα).
Lines closer than 0.1° are merged.

Most intense lines, 15 to 90 degrees two-theta, in order of rising 2θ:
- (1 1 0), 2θ 17.27, I = 100
- (2 0 0), 2θ 17.46, I = 54
- (0 0 1), 2θ 18.49, I = 46
- (2 0 -1), 2θ 24.80, I = 44
- (1 1 -1), 2θ 25.04, I = 38
- (1 1 1), 2θ 25.76, I = 83
- (3 1 0), 2θ 30.37, I = 51
- (2 2 -1), 2θ 39.33, I = 55
- (4 0 1), 2θ 41.10, I = 46
- (5 1 -1), 2θ 50.17, I = 25

Cell and atoms:
abc: 10.1738 5.9511 4.8073
angles: 90.00 93.20 90.00
Space group C2/m (No. 12)
Unique sites:
K 0.1684 0.0000 0.3099 [4 per cell]
Re 0.0000 0.5000 0.0000 [2 per cell]
O 0.1437 0.5000 0.2336 [4 per cell]
F 0.0801 0.2568 0.7837 [8 per cell]